No. 1
Diffraction record for AcLaC3N6. The powder diffractogram is computed, not measured: it uses a DFT-relaxed cell (PBE, Alexandria) and a wavelength of 1.5418 Å.
Lines closer than 0.1° are merged.

The 10 most intense peaks (2θ = 15–90°), by intensity:
d = 3.715 Å, 24.0 deg, intensity 100.0; d = 2.145 Å, 42.1 deg, intensity 64.3; d = 2.627 Å, 34.1 deg, intensity 35.9; d = 1.404 Å, 66.6 deg, intensity 33.0; d = 1.662 Å, 55.3 deg, intensity 22.7; d = 1.858 Å, 49.0 deg, intensity 19.7; d = 1.238 Å, 77.0 deg, intensity 13.4; d = 1.175 Å, 82.0 deg, intensity 10.8; d = 1.120 Å, 87.0 deg, intensity 8.2; d = 3.034 Å, 29.4 deg, intensity 6.4

Atomic structure:
abc: 7.4300 7.4300 9.1024
angles: 90.00 90.00 120.00
Space group R3 (No. 146, hexagonal axes)
Symmetry-distinct sites (fractional):
1 Ac 0.0000 0.0000 0.0000 (multiplicity 3)
2 La 0.0000 0.0000 0.4973 (multiplicity 3)
3 C 0.1668 0.8320 0.3334 (multiplicity 9)
4 N 0.0110 0.2557 0.2553 (multiplicity 9)
5 N 0.0879 0.6757 0.4120 (multiplicity 9)



No. 2
Diffraction record for LiAcC3N6. The powder diffractogram is computed, not measured: it uses a DFT-relaxed cell (PBE, Alexandria) and a wavelength of 1.5418 Å.
Lines closer than 0.1° are merged.

The 10 most intense peaks (2θ = 15–90°), by intensity:
d = 5.133 Å, 17.3 deg, intensity 100.0; d = 3.701 Å, 24.0 deg, intensity 79.4; d = 5.343 Å, 16.6 deg, intensity 72.2; d = 2.313 Å, 38.9 deg, intensity 35.8; d = 3.002 Å, 29.8 deg, intensity 33.4; d = 2.671 Å, 33.5 deg, intensity 30.6; d = 2.370 Å, 38.0 deg, intensity 30.2; d = 1.984 Å, 45.7 deg, intensity 22.3; d = 2.566 Å, 35.0 deg, intensity 20.9; d = 2.044 Å, 44.3 deg, intensity 16.7

Atomic structure:
abc: 10.2650 10.2650 6.6849
angles: 90.00 90.00 120.00
Space group R-3 (No. 148, hexagonal axes)
Symmetry-distinct sites (fractional):
1 Li 0.0000 0.0000 0.0000 (multiplicity 3)
2 Ac 0.0000 0.0000 0.5000 (multiplicity 3)
3 C 0.0000 0.5000 0.5000 (multiplicity 9)
4 N 0.1004 0.2013 0.7790 (multiplicity 18)



No. 3
Diffraction record for LiAc2C2N6. The powder diffractogram is computed, not measured: it uses a DFT-relaxed cell (PBE, Alexandria) and a wavelength of 1.5418 Å.
Lines closer than 0.1° are merged.

The 10 most intense peaks (2θ = 15–90°), by intensity:
d = 4.819 Å, 18.4 deg, intensity 100.0; d = 3.747 Å, 23.7 deg, intensity 92.9; d = 3.224 Å, 27.7 deg, intensity 88.8; d = 3.147 Å, 28.4 deg, intensity 83.3; d = 3.419 Å, 26.1 deg, intensity 79.1; d = 3.620 Å, 24.6 deg, intensity 69.6; d = 3.257 Å, 27.4 deg, intensity 53.2; d = 3.294 Å, 27.1 deg, intensity 46.1; d = 2.646 Å, 33.9 deg, intensity 43.6; d = 2.621 Å, 34.2 deg, intensity 40.8

Atomic structure:
abc: 4.548 5.248 6.791
angles: 111.97 90.88 92.80
Space group P-1 (No. 2)
Symmetry-distinct sites (fractional):
1 Li 0.000 0.000 0.000 (multiplicity 1)
2 Ac 0.267 0.680 0.279 (multiplicity 2)
3 C 0.313 0.780 0.762 (multiplicity 2)
4 N 0.133 0.931 0.693 (multiplicity 2)
5 N 0.248 0.632 0.880 (multiplicity 2)
6 N 0.431 0.177 0.330 (multiplicity 2)



No. 4
Diffraction record for LiAc3C4O12. The powder diffractogram is computed, not measured: it uses a DFT-relaxed cell (PBE, Alexandria) and a wavelength of 1.5418 Å.
Lines closer than 0.1° are merged.

The 10 most intense peaks (2θ = 15–90°), by intensity:
d = 3.326 Å, 26.8 deg, intensity 100.0; d = 4.131 Å, 21.5 deg, intensity 80.2; d = 2.044 Å, 44.3 deg, intensity 45.4; d = 2.636 Å, 34.0 deg, intensity 35.8; d = 2.221 Å, 40.6 deg, intensity 29.8; d = 2.143 Å, 42.2 deg, intensity 29.1; d = 1.698 Å, 54.0 deg, intensity 28.7; d = 5.271 Å, 16.8 deg, intensity 25.4; d = 2.066 Å, 43.8 deg, intensity 17.6; d = 3.252 Å, 27.4 deg, intensity 16.7

Atomic structure:
abc: 10.5425 10.5425 9.7094
angles: 90.00 90.00 120.00
Space group R32 (No. 155, hexagonal axes)
Symmetry-distinct sites (fractional):
1 Li 0.0000 0.0000 0.0000 (multiplicity 3)
2 Ac 0.0000 0.5106 0.0000 (multiplicity 9)
3 C 0.0000 0.0000 0.5000 (multiplicity 3)
4 C 0.0000 0.4893 0.5000 (multiplicity 9)
5 O 0.0000 0.6140 0.5000 (multiplicity 9)
6 O 0.0000 0.8719 0.5000 (multiplicity 9)
7 O 0.0340 0.2088 0.8282 (multiplicity 18)